(1)
# Eu3Tc
Computed powder diffractogram, Cu Ka. Input: DFT lattice parameters and positions (PBE).

Atomic structure:
```
Eu3Tc
1.0
-2.469 2.469 4.692
2.469 -2.469 4.692
2.469 2.469 -4.692
Eu Tc
3 1
direct
0.000 0.000 0.000 Eu
0.250 0.750 0.500 Eu
0.750 0.250 0.500 Eu
0.500 0.500 0.000 Tc
```

Most intense lines, 2θ = 10–90°, low angle first:
2θ = 31.9°, I 100.0
2θ = 36.4°, I 35.3
2θ = 38.4°, I 15.2
2θ = 52.4°, I 12.3
2θ = 53.9°, I 22.5
2θ = 62.7°, I 28.5
2θ = 65.4°, I 12.6
2θ = 88.5°, I 17.3

(2)
# SmCuGe
Computed powder diffractogram, Cu Ka. Input: DFT lattice parameters and positions (PBE).

Atomic structure:
```
SmCuGe
1.0
4.270 0.000 0.000
-2.135 3.698 0.000
0.000 0.000 3.862
Sm Cu Ge
1 1 1
direct
0.000 0.000 0.000 Sm
0.333 0.667 0.500 Cu
0.667 0.333 0.500 Ge
```

Most intense lines, 2θ = 10–90°, low angle first:
2θ = 24.1°, I 14.0
2θ = 33.6°, I 100.0
2θ = 42.3°, I 46.0
2θ = 47.1°, I 11.2
2θ = 55.1°, I 24.0
2θ = 65.1°, I 24.8
2θ = 71.8°, I 21.4
2θ = 78.7°, I 8.3